For Sr3Ge2N4, a structure optimized by DFT (GGA-PBE) gives the computed powder diffractogram in this record (Cu Kα (weighted mean of Kα1 and Kα2)).

Cell and atoms:
```
data_Sr3Ge2N4
_chemical_formula_sum 'Sr12 Ge8 N16'
_cell_length_a 6.1432
_cell_length_b 10.1677
_cell_length_c 9.7604
_cell_angle_alpha 90.00
_cell_angle_beta 90.00
_cell_angle_gamma 90.00
_symmetry_space_group_name_H-M 'P 1'
_symmetry_Int_Tables_number 1
loop_
_symmetry_equiv_pos_as_xyz
'x,y,z'
loop_
_atom_site_label
_atom_site_type_symbol
_atom_site_fract_x
_atom_site_fract_y
_atom_site_fract_z
Sr1 Sr 0.1276 0.1600 0.0687
Sr2 Sr 0.1276 0.3400 0.4313
Sr3 Sr 0.2500 0.0000 0.3913
Sr4 Sr 0.2500 0.5000 0.1087
Sr5 Sr 0.3724 0.6600 0.4313
Sr6 Sr 0.3724 0.8400 0.0687
Sr7 Sr 0.6276 0.1600 0.9313
Sr8 Sr 0.6276 0.3400 0.5687
Sr9 Sr 0.7500 0.0000 0.6087
Sr10 Sr 0.7500 0.5000 0.8913
Sr11 Sr 0.8724 0.6600 0.5687
Sr12 Sr 0.8724 0.8400 0.9313
Ge1 Ge 0.0510 0.2500 0.7500
Ge2 Ge 0.2500 0.0000 0.7328
Ge3 Ge 0.2500 0.5000 0.7672
Ge4 Ge 0.4490 0.7500 0.7500
Ge5 Ge 0.5510 0.2500 0.2500
Ge6 Ge 0.7500 0.0000 0.2672
Ge7 Ge 0.7500 0.5000 0.2328
Ge8 Ge 0.9490 0.7500 0.2500
N1 N 0.0100 0.0468 0.8387
N2 N 0.0100 0.4532 0.6613
N3 N 0.2428 0.6572 0.8831
N4 N 0.2428 0.8428 0.6169
N5 N 0.2572 0.1572 0.6169
N6 N 0.2572 0.3428 0.8831
N7 N 0.4900 0.5468 0.6613
N8 N 0.4900 0.9532 0.8387
N9 N 0.5100 0.0468 0.1613
N10 N 0.5100 0.4532 0.3387
N11 N 0.7428 0.6572 0.1169
N12 N 0.7428 0.8428 0.3831
N13 N 0.7572 0.1572 0.3831
N14 N 0.7572 0.3428 0.1169
N15 N 0.9900 0.5468 0.3387
N16 N 0.9900 0.9532 0.1613
```

Top 10 peaks for 10° ≤ 2θ ≤ 90°, in order of rising 2θ:
2θ (°)	I (rel.)
27.87	62.9
30.40	44.7
31.11	84.0
31.78	21.1
32.36	59.7
34.10	31.3
35.38	100.0
39.99	25.1
48.29	24.7
56.06	29.6

For TiGe4N4, a structure optimized by DFT (GGA-PBE) gives the computed powder diffractogram in this record (Cu Kα (weighted mean of Kα1 and Kα2)).

Cell and atoms:
```
data_TiGe4N4
_chemical_formula_sum 'Ti2 Ge8 N8'
_cell_length_a 5.2341
_cell_length_b 6.6369
_cell_length_c 7.8017
_cell_angle_alpha 98.03
_cell_angle_beta 95.62
_cell_angle_gamma 108.58
_symmetry_space_group_name_H-M 'P 1'
_symmetry_Int_Tables_number 1
loop_
_symmetry_equiv_pos_as_xyz
'x,y,z'
loop_
_atom_site_label
_atom_site_type_symbol
_atom_site_fract_x
_atom_site_fract_y
_atom_site_fract_z
Ti1 Ti 0.1715 0.3814 0.2422
Ti2 Ti 0.8285 0.6186 0.7578
Ge1 Ge 0.1451 0.9411 0.1402
Ge2 Ge 0.2472 0.5054 0.6266
Ge3 Ge 0.2546 0.9567 0.5507
Ge4 Ge 0.4223 0.6965 0.0552
Ge5 Ge 0.5777 0.3035 0.9448
Ge6 Ge 0.7454 0.0433 0.4493
Ge7 Ge 0.7528 0.4946 0.3734
Ge8 Ge 0.8549 0.0589 0.8598
N1 N 0.1150 0.1018 0.3584
N2 N 0.1542 0.6517 0.4220
N3 N 0.1924 0.6735 0.8392
N4 N 0.2201 0.1872 0.0164
N5 N 0.7799 0.8128 0.9836
N6 N 0.8076 0.3265 0.1608
N7 N 0.8458 0.3483 0.5780
N8 N 0.8850 0.8982 0.6416
```

Top 10 peaks for 10° ≤ 2θ ≤ 90°, in order of rising 2θ:
2θ (°)	I (rel.)
26.94	36.5
29.12	64.6
31.81	100.0
35.46	33.5
35.63	51.3
36.76	41.1
38.39	52.2
38.70	64.8
43.80	29.5
47.85	30.5

For V3GeN, a structure optimized by DFT (GGA-PBE) gives the computed powder diffractogram in this record (Cu Kα (weighted mean of Kα1 and Kα2)).

Cell and atoms:
```
data_V3GeN
_chemical_formula_sum 'V6 Ge2 N2'
_cell_length_a 5.3017
_cell_length_b 5.3017
_cell_length_c 7.7305
_cell_angle_alpha 90.00
_cell_angle_beta 90.00
_cell_angle_gamma 146.59
_symmetry_space_group_name_H-M 'P 1'
_symmetry_Int_Tables_number 1
loop_
_symmetry_equiv_pos_as_xyz
'x,y,z'
loop_
_atom_site_label
_atom_site_type_symbol
_atom_site_fract_x
_atom_site_fract_y
_atom_site_fract_z
V1 V 0.0396 0.9604 0.7500
V2 V 0.3744 0.6256 0.5453
V3 V 0.3744 0.6256 0.9547
V4 V 0.6256 0.3744 0.0453
V5 V 0.6256 0.3744 0.4547
V6 V 0.9604 0.0396 0.2500
Ge1 Ge 0.2564 0.7436 0.2500
Ge2 Ge 0.7436 0.2564 0.7500
N1 N 0.0000 0.0000 0.0000
N2 N 0.0000 0.0000 0.5000
```

Top 10 peaks for 10° ≤ 2θ ≤ 90°, in order of rising 2θ:
2θ (°)	I (rel.)
38.65	62.6
39.20	39.6
39.79	57.9
41.54	100.0
42.60	83.8
47.03	89.9
60.78	25.1
74.27	30.6
77.04	26.8
82.62	21.6

For VGeN2, a structure optimized by DFT (GGA-PBE) gives the computed powder diffractogram in this record (Cu Kα (weighted mean of Kα1 and Kα2)).

Cell and atoms:
```
data_VGeN2
_chemical_formula_sum 'V4 Ge4 N8'
_cell_length_a 6.5424
_cell_length_b 3.3572
_cell_length_c 9.6929
_cell_angle_alpha 90.00
_cell_angle_beta 90.00
_cell_angle_gamma 90.00
_symmetry_space_group_name_H-M 'P 1'
_symmetry_Int_Tables_number 1
loop_
_symmetry_equiv_pos_as_xyz
'x,y,z'
loop_
_atom_site_label
_atom_site_type_symbol
_atom_site_fract_x
_atom_site_fract_y
_atom_site_fract_z
V1 V 0.0305 0.2500 0.1052
V2 V 0.4695 0.7500 0.6052
V3 V 0.5305 0.2500 0.3948
V4 V 0.9695 0.7500 0.8948
Ge1 Ge 0.0609 0.2500 0.6174
Ge2 Ge 0.4391 0.7500 0.1174
Ge3 Ge 0.5609 0.2500 0.8826
Ge4 Ge 0.9391 0.7500 0.3826
N1 N 0.1135 0.7500 0.7365
N2 N 0.1496 0.7500 0.0587
N3 N 0.3504 0.2500 0.5587
N4 N 0.3865 0.2500 0.2365
N5 N 0.6135 0.7500 0.7635
N6 N 0.6496 0.7500 0.4413
N7 N 0.8504 0.2500 0.9413
N8 N 0.8865 0.2500 0.2635
```

Top 10 peaks for 10° ≤ 2θ ≤ 90°, in order of rising 2θ:
2θ (°)	I (rel.)
22.84	28.6
27.26	40.3
35.30	100.0
37.10	19.4
45.62	19.2
46.65	15.6
53.56	14.8
54.48	14.2
54.68	13.2
65.71	15.5